[1]
Simulated X-ray powder pattern of Ho11Cd9Hg4 for a wavelength of 1.5418 Å, from a GGA-PBE-relaxed structure.
Kinematic intensities with the Lorentz-polarization factor, no thermal factor.

Most intense lines, 2θ from 10° to 80°, in order of rising 2θ:
2θ = 31.20°, I 6; 2θ = 32.30°, I 6; 2θ = 34.02°, I 100; 2θ = 34.31°, I 50; 2θ = 36.24°, I 9; 2θ = 48.44°, I 12; 2θ = 49.24°, I 7; 2θ = 49.37°, I 7; 2θ = 60.70°, I 19; 2θ = 61.26°, I 22

Structural model:
```
Ho11Cd9Hg4
1.0
7.402 -11.075 0.000
7.402 11.075 0.000
0.000 0.000 3.758
Ho Cd Hg
11 9 4
Cartesian
0.000 0.000 0.000
3.549 3.812 0.000
7.402 7.412 0.000
3.986 0.000 0.000
7.402 3.254 0.000
3.549 -3.812 0.000
11.256 3.812 0.000
7.402 -3.254 0.000
10.819 0.000 0.000
7.402 -7.412 0.000
11.256 -3.812 0.000
1.914 1.721 1.879
5.760 5.370 1.879
1.914 -1.721 1.879
9.044 5.370 1.879
7.402 0.000 1.879
5.760 -5.370 1.879
12.890 1.721 1.879
9.044 -5.370 1.879
12.890 -1.721 1.879
5.237 2.108 1.879
5.237 -2.108 1.879
9.567 2.108 1.879
9.567 -2.108 1.879
```



[2]
Simulated X-ray powder pattern of HoCd3Hg6 for a wavelength of 1.5418 Å, from a GGA-PBE-relaxed structure.
Kinematic intensities with the Lorentz-polarization factor, no thermal factor.

Most intense lines, 2θ from 10° to 80°, in order of rising 2θ:
2θ = 29.79°, I 100; 2θ = 33.16°, I 42; 2θ = 35.05°, I 94; 2θ = 35.66°, I 68; 2θ = 35.87°, I 43; 2θ = 38.05°, I 51; 2θ = 57.47°, I 25; 2θ = 58.95°, I 22; 2θ = 67.96°, I 27; 2θ = 70.32°, I 27

Structural model:
```
HoCd3Hg6
1.0
6.662 3.846 3.359
-6.662 3.846 3.359
0.000 -7.693 3.359
Ho Cd Hg
2 6 12
Cartesian
0.000 0.000 0.000
0.000 0.000 5.038
-1.037 -1.796 2.519
-1.037 1.796 2.519
2.074 0.000 2.519
-2.074 0.000 7.558
1.037 -1.796 7.558
1.037 1.796 7.558
-5.533 1.007 3.988
-3.639 -4.288 6.089
-3.023 -0.442 4.409
1.894 -5.296 3.988
-1.129 -2.839 5.667
1.894 -2.397 4.409
-1.894 2.397 5.667
1.129 2.839 4.409
-1.894 5.296 6.089
3.023 0.442 5.667
3.639 4.288 3.988
5.533 -1.007 6.089
```



[3]
Simulated X-ray powder pattern of Ho2Cd3Hg for a wavelength of 1.5418 Å, from a GGA-PBE-relaxed structure.
Kinematic intensities with the Lorentz-polarization factor, no thermal factor.

Most intense lines, 2θ from 10° to 80°, in order of rising 2θ:
2θ = 33.47°, I 100; 2θ = 36.21°, I 28; 2θ = 36.36°, I 55; 2θ = 50.16°, I 21; 2θ = 50.31°, I 10; 2θ = 53.45°, I 9; 2θ = 63.39°, I 11; 2θ = 63.59°, I 20; 2θ = 65.23°, I 10; 2θ = 66.34°, I 28

Structural model:
```
Ho2Cd3Hg
1.0
3.428 0.000 0.000
0.000 4.961 0.000
0.000 0.000 8.549
Ho Cd Hg
2 3 1
Cartesian
0.000 0.000 0.000
0.000 2.481 4.177
1.714 0.000 5.686
1.714 2.481 1.347
1.714 2.481 7.052
1.714 0.000 2.816
```



- What is the formula in the third record?
  Ho2Cd3Hg